Structure and computed powder X-ray diffraction pattern of LiTmHg4 (a cell relaxed with GGA-PBE; λ = 1.5418 Å (Cu Kα)).

Top 8 peaks for 2θ from 15° to 90°, sorted by position:
- 33.63°, intensity 100
- 36.87°, intensity 80
- 37.10°, intensity 77
- 47.93°, intensity 19
- 48.67°, intensity 17
- 62.11°, intensity 35
- 62.58°, intensity 32
- 68.73°, intensity 26

Structural model:
```
data_LiTmHg4
_space_group_name_H-M_alt 'P 1'
_space_group_IT_number 1
_space_group_name_Hall 'P 1'
_cell_length_a 5.465
_cell_length_b 5.465
_cell_length_c 7.484
_cell_angle_alpha 110.00
_cell_angle_beta 110.00
_cell_angle_gamma 40.65
loop_
_atom_site_label
_atom_site_fract_x
_atom_site_fract_y
_atom_site_fract_z
Li1 0.000 0.000 0.000
Tm1 0.000 0.000 0.500
Hg1 0.336 0.336 0.680
Hg2 0.338 0.338 0.157
Hg3 0.662 0.662 0.843
Hg4 0.664 0.664 0.320
```


Structure and computed powder X-ray diffraction pattern of Ac4Hg3N (a cell relaxed with GGA-PBE; λ = 1.5418 Å (Cu Kα)).

Top 8 peaks for 2θ from 15° to 90°, sorted by position:
- 27.50°, intensity 72
- 27.97°, intensity 65
- 28.69°, intensity 51
- 30.28°, intensity 100
- 30.97°, intensity 49
- 32.48°, intensity 34
- 33.43°, intensity 38
- 36.24°, intensity 42

Structural model:
```
data_Ac4Hg3N
_space_group_name_H-M_alt 'P 1'
_space_group_IT_number 1
_space_group_name_Hall 'P 1'
_cell_length_a 9.802
_cell_length_b 10.721
_cell_length_c 10.210
_cell_angle_alpha 90.00
_cell_angle_beta 90.00
_cell_angle_gamma 90.00
loop_
_atom_site_label
_atom_site_fract_x
_atom_site_fract_y
_atom_site_fract_z
Ac1 0.037 0.250 0.079
Ac2 0.167 0.750 0.267
Ac3 0.188 0.062 0.474
Ac4 0.188 0.438 0.474
Ac5 0.312 0.562 0.974
Ac6 0.312 0.938 0.974
Ac7 0.333 0.250 0.767
Ac8 0.463 0.750 0.579
Ac9 0.537 0.250 0.421
Ac10 0.667 0.750 0.233
Ac11 0.688 0.062 0.026
Ac12 0.688 0.438 0.026
Ac13 0.812 0.562 0.526
Ac14 0.812 0.938 0.526
Ac15 0.833 0.250 0.733
Ac16 0.963 0.750 0.921
Hg1 0.058 0.027 0.780
Hg2 0.058 0.473 0.780
Hg3 0.104 0.750 0.605
Hg4 0.396 0.250 0.105
Hg5 0.442 0.527 0.280
Hg6 0.442 0.973 0.280
Hg7 0.558 0.027 0.720
Hg8 0.558 0.473 0.720
Hg9 0.604 0.750 0.895
Hg10 0.896 0.250 0.395
Hg11 0.942 0.527 0.220
Hg12 0.942 0.973 0.220
N1 0.189 0.750 0.028
N2 0.311 0.250 0.528
N3 0.689 0.750 0.472
N4 0.811 0.250 0.972
```


Structure and computed powder X-ray diffraction pattern of Hf6CoAu2 (a cell relaxed with GGA-PBE; λ = 1.5418 Å (Cu Kα)).

Top 8 peaks for 2θ from 15° to 90°, sorted by position:
- 31.51°, intensity 79
- 35.23°, intensity 72
- 35.94°, intensity 100
- 36.64°, intensity 60
- 39.28°, intensity 52
- 39.53°, intensity 36
- 40.88°, intensity 56
- 41.94°, intensity 34

Structural model:
```
data_Hf6CoAu2
_space_group_name_H-M_alt 'P 1'
_space_group_IT_number 1
_space_group_name_Hall 'P 1'
_cell_length_a 5.508
_cell_length_b 7.229
_cell_length_c 10.515
_cell_angle_alpha 90.00
_cell_angle_beta 119.25
_cell_angle_gamma 90.00
loop_
_atom_site_label
_atom_site_fract_x
_atom_site_fract_y
_atom_site_fract_z
Hf1 0.101 0.047 0.249
Hf2 0.101 0.453 0.749
Hf3 0.175 0.713 0.043
Hf4 0.175 0.787 0.543
Hf5 0.380 0.159 0.030
Hf6 0.380 0.341 0.530
Hf7 0.620 0.659 0.470
Hf8 0.620 0.841 0.970
Hf9 0.825 0.213 0.457
Hf10 0.825 0.287 0.957
Hf11 0.899 0.547 0.251
Hf12 0.899 0.953 0.751
Co1 0.500 0.000 0.500
Co2 0.500 0.500 0.000
Au1 0.356 0.098 0.730
Au2 0.356 0.402 0.230
Au3 0.644 0.598 0.770
Au4 0.644 0.902 0.270
```


Structure and computed powder X-ray diffraction pattern of CaY3Te4 (a cell relaxed with GGA-PBE; λ = 1.5418 Å (Cu Kα)).

Top 8 peaks for 2θ from 15° to 90°, sorted by position:
- 28.74°, intensity 100
- 40.81°, intensity 13
- 41.10°, intensity 50
- 41.33°, intensity 12
- 50.69°, intensity 13
- 51.13°, intensity 13
- 59.51°, intensity 12
- 67.42°, intensity 22

Structural model:
```
data_CaY3Te4
_space_group_name_H-M_alt 'P 1'
_space_group_IT_number 1
_space_group_name_Hall 'P 1'
_cell_length_a 7.622
_cell_length_b 7.622
_cell_length_c 4.369
_cell_angle_alpha 90.00
_cell_angle_beta 90.00
_cell_angle_gamma 109.07
loop_
_atom_site_label
_atom_site_fract_x
_atom_site_fract_y
_atom_site_fract_z
Ca1 0.000 0.000 0.000
Y1 0.000 0.500 0.500
Y2 0.500 0.000 0.500
Y3 0.500 0.500 0.000
Te1 0.250 0.750 0.000
Te2 0.252 0.252 0.500
Te3 0.748 0.748 0.500
Te4 0.750 0.250 0.000
```